Record 1
The following is a simulated powder diffraction line list of Sr4Sn5Hg3. It was derived from the GGA-PBE geometry in Alexandria, using Cu Kα X-rays.
No peak broadening, texture or thermal motion is included.

Main lines, in order of rising 2θ (10° ≤ 2θ ≤ 80°):
| hkl | 2θ/deg | I (rel.) |
| --- | --- | --- |
| 0 0 2 | 17.84 | 40 |
| 4 0 -2 | 23.01 | 32 |
| 3 1 -1 | 23.66 | 44 |
| 3 1 0 | 25.38 | 100 |
| 1 1 -3 | 29.77 | 65 |
| 4 0 -4 | 32.72 | 41 |
| 0 2 0 | 33.75 | 72 |
| 2 0 3 | 35.01 | 93 |
| 4 2 -4 | 47.72 | 29 |
| 2 2 3 | 49.42 | 50 |

Crystal structure
```
data_Sr4Sn5Hg3
_symmetry_space_group_name_H-M 'C 1 2/m 1'
_symmetry_Int_Tables_number 12
_cell_length_a 15.9712
_cell_length_b 5.3111
_cell_length_c 11.3181
_cell_angle_alpha 90.00
_cell_angle_beta 118.54
_cell_angle_gamma 90.00
loop_
_symmetry_equiv_pos_as_xyz
'x,y,z'
'-x,-y,-z'
'-x,y,-z'
'x,-y,z'
'x+1/2,y+1/2,z'
'-x+1/2,-y+1/2,-z'
'-x+1/2,y+1/2,-z'
'x+1/2,-y+1/2,z'
loop_
_atom_site_label
_atom_site_type_symbol
_atom_site_fract_x
_atom_site_fract_y
_atom_site_fract_z
Sr1 Sr 0.0321 0.0000 0.3304
Sr2 Sr 0.2343 0.5000 0.2349
Sn1 Sn 0.0000 0.5000 0.0000
Sn2 Sn 0.0923 0.5000 0.6269
Sn3 Sn 0.2302 0.5000 0.5375
Hg1 Hg 0.0000 0.0000 0.0000
Hg2 Hg 0.1895 0.5000 0.9256
```

***

Record 2
The following is a simulated powder diffraction line list of Sr12SnHg6. It was derived from the GGA-PBE geometry in Alexandria, using Cu Kα X-rays.
No peak broadening, texture or thermal motion is included.

Main lines, in order of rising 2θ (10° ≤ 2θ ≤ 80°):
| hkl | 2θ/deg | I (rel.) |
| --- | --- | --- |
| 1 1 0 | 11.01 | 15 |
| 2 0 0 | 15.59 | 28 |
| 3 1 2 | 29.39 | 100 |
| 3 3 0 | 33.44 | 20 |
| 4 3 1 | 40.45 | 37 |
| 6 0 0 | 48.01 | 19 |
| 5 2 3 | 49.41 | 13 |
| 5 3 4 | 57.30 | 12 |
| 7 3 2 | 64.54 | 15 |
| 8 1 3 | 71.36 | 16 |

Crystal structure
```
data_Sr12SnHg6
_symmetry_space_group_name_H-M 'I m -3'
_symmetry_Int_Tables_number 204
_symmetry_space_group_name_Hall '-I 2 2 3'
_cell_length_a 11.3696
_cell_length_b 11.3696
_cell_length_c 11.3696
_cell_angle_alpha 90.00
_cell_angle_beta 90.00
_cell_angle_gamma 90.00
loop_
_atom_site_label
_atom_site_type_symbol
_atom_site_fract_x
_atom_site_fract_y
_atom_site_fract_z
Sr1 Sr 0.0000 0.2900 0.1805
Sn1 Sn 0.0000 0.0000 0.0000
Hg1 Hg 0.0000 0.1335 0.5000
```

***

Record 3
The following is a simulated powder diffraction line list of Sr2SnHg5. It was derived from the GGA-PBE geometry in Alexandria, using Cu Kα X-rays.
No peak broadening, texture or thermal motion is included.

Main lines, in order of rising 2θ (10° ≤ 2θ ≤ 80°):
| hkl | 2θ/deg | I (rel.) |
| --- | --- | --- |
| 1 1 0 | 18.66 | 28 |
| 1 3 2 | 29.03 | 44 |
| 1 5 0 | 30.13 | 89 |
| 1 1 3 | 32.34 | 100 |
| 2 0 0 | 36.53 | 73 |
| 0 6 3 | 39.32 | 44 |
| 1 1 4 | 40.08 | 24 |
| 1 5 3 | 40.32 | 29 |
| 1 3 4 | 42.49 | 47 |
| 2 6 3 | 54.75 | 35 |

Crystal structure
```
data_Sr2SnHg5
_symmetry_space_group_name_H-M 'C m c m'
_symmetry_Int_Tables_number 63
_symmetry_space_group_name_Hall '-C 2c 2'
_cell_length_a 4.9193
_cell_length_b 18.5892
_cell_length_c 10.2151
_cell_angle_alpha 90.00
_cell_angle_beta 90.00
_cell_angle_gamma 90.00
loop_
_atom_site_label
_atom_site_type_symbol
_atom_site_fract_x
_atom_site_fract_y
_atom_site_fract_z
Sr1 Sr 0.0000 0.0000 0.0000
Sr2 Sr 0.0000 0.1974 0.2500
Sn1 Sn 0.0000 0.4535 0.7500
Hg1 Hg 0.0000 0.1949 0.6034
Hg2 Hg 0.0000 0.3571 0.5313
Hg3 Hg 0.0000 0.3945 0.2500
```

***

Record 4
The following is a simulated powder diffraction line list of Sr3SnHg7. It was derived from the GGA-PBE geometry in Alexandria, using Cu Kα X-rays.
No peak broadening, texture or thermal motion is included.

Main lines, in order of rising 2θ (10° ≤ 2θ ≤ 80°):
| hkl | 2θ/deg | I (rel.) |
| --- | --- | --- |
| 1 1 0 | 18.27 | 91 |
| 0 2 4 | 30.68 | 100 |
| 0 6 3 | 32.72 | 33 |
| 1 7 1 | 34.12 | 73 |
| 1 1 4 | 35.00 | 70 |
| 2 0 0 | 36.11 | 74 |
| 1 7 2 | 36.55 | 43 |
| 1 3 4 | 36.86 | 29 |
| 2 2 4 | 48.10 | 30 |
| 2 6 3 | 49.54 | 31 |

Crystal structure
```
data_Sr3SnHg7
_symmetry_space_group_name_H-M 'C m c m'
_symmetry_Int_Tables_number 63
_symmetry_space_group_name_Hall '-C 2c 2'
_cell_length_a 4.9743
_cell_length_b 22.4099
_cell_length_c 12.0685
_cell_angle_alpha 90.00
_cell_angle_beta 90.00
_cell_angle_gamma 90.00
loop_
_atom_site_label
_atom_site_type_symbol
_atom_site_fract_x
_atom_site_fract_y
_atom_site_fract_z
Sr1 Sr 0.0000 0.1146 0.0602
Sr2 Sr 0.0000 0.2015 0.7500
Sn1 Sn 0.0000 0.0380 0.7500
Hg1 Hg 0.0000 0.2814 0.5124
Hg2 Hg 0.0000 0.3487 0.7500
Hg3 Hg 0.0000 0.3897 0.1278
Hg4 Hg 0.0000 0.4745 0.6189
```

***

Record 5
The following is a simulated powder diffraction line list of SrSnHg2. It was derived from the GGA-PBE geometry in Alexandria, using Cu Kα X-rays.
No peak broadening, texture or thermal motion is included.

Main lines, in order of rising 2θ (10° ≤ 2θ ≤ 80°):
| hkl | 2θ/deg | I (rel.) |
| --- | --- | --- |
| 1 0 0 | 22.95 | 12 |
| 1 1 0 | 32.68 | 53 |
| 1 0 2 | 33.12 | 100 |
| 2 0 0 | 46.88 | 20 |
| 0 0 4 | 48.19 | 8 |
| 2 1 2 | 58.60 | 40 |
| 1 1 4 | 59.44 | 17 |
| 2 0 4 | 69.51 | 11 |
| 3 1 0 | 77.95 | 9 |
| 3 0 2 | 78.20 | 9 |

Crystal structure
```
data_SrSnHg2
_symmetry_space_group_name_H-M 'P 4/m m m'
_symmetry_Int_Tables_number 123
_symmetry_space_group_name_Hall '-P 4 2'
_cell_length_a 3.8758
_cell_length_b 3.8758
_cell_length_c 7.5530
_cell_angle_alpha 90.00
_cell_angle_beta 90.00
_cell_angle_gamma 90.00
loop_
_atom_site_label
_atom_site_type_symbol
_atom_site_fract_x
_atom_site_fract_y
_atom_site_fract_z
Sr1 Sr 0.0000 0.0000 0.0000
Sn1 Sn 0.0000 0.0000 0.5000
Hg1 Hg 0.5000 0.5000 0.2675
```

***

Record 6
The following is a simulated powder diffraction line list of Sr3TlSn2Hg6. It was derived from the GGA-PBE geometry in Alexandria, using Cu Kα X-rays.
No peak broadening, texture or thermal motion is included.

Main lines, in order of rising 2θ (10° ≤ 2θ ≤ 80°):
| hkl | 2θ/deg | I (rel.) |
| --- | --- | --- |
| 0 0 2 | 17.75 | 23 |
| 1 0 1 | 18.17 | 32 |
| 0 1 3 | 31.25 | 39 |
| 1 1 2 | 33.02 | 67 |
| 2 0 1 | 33.26 | 100 |
| 0 0 4 | 35.94 | 23 |
| 2 0 2 | 36.82 | 34 |
| 0 2 3 | 42.18 | 30 |
| 2 0 5 | 56.59 | 22 |
| 2 2 0 | 57.04 | 41 |

Crystal structure
```
data_Sr3TlSn2Hg6
_symmetry_space_group_name_H-M 'P -3 m 1'
_symmetry_Int_Tables_number 164
_symmetry_space_group_name_Hall '-P 3 2"'
_cell_length_a 6.4596
_cell_length_b 6.4596
_cell_length_c 9.9951
_cell_angle_alpha 90.00
_cell_angle_beta 90.00
_cell_angle_gamma 120.00
loop_
_atom_site_label
_atom_site_type_symbol
_atom_site_fract_x
_atom_site_fract_y
_atom_site_fract_z
Sr1 Sr 0.0000 0.0000 0.0000
Sr2 Sr 0.3333 0.6667 0.6104
Tl1 Tl 0.0000 0.0000 0.5000
Sn1 Sn 0.3333 0.6667 0.9766
Hg1 Hg 0.1774 0.3548 0.2591
```

***

Record 7
The following is a simulated powder diffraction line list of Tb5SnHg3. It was derived from the GGA-PBE geometry in Alexandria, using Cu Kα X-rays.
No peak broadening, texture or thermal motion is included.

Main lines, in order of rising 2θ (10° ≤ 2θ ≤ 80°):
| hkl | 2θ/deg | I (rel.) |
| --- | --- | --- |
| 0 0 2 | 26.92 | 13 |
| 2 1 1 | 32.55 | 44 |
| 1 1 2 | 33.29 | 100 |
| 3 0 0 | 33.60 | 88 |
| 3 1 1 | 42.99 | 20 |
| 2 2 2 | 48.03 | 26 |
| 2 1 3 | 51.23 | 13 |
| 4 1 2 | 59.89 | 22 |
| 4 2 1 | 63.07 | 15 |
| 3 0 4 | 66.46 | 25 |

Crystal structure
```
data_Tb5SnHg3
_symmetry_space_group_name_H-M 'P 63/m c m'
_symmetry_Int_Tables_number 193
_symmetry_space_group_name_Hall '-P 6c 2'
_cell_length_a 9.2384
_cell_length_b 9.2384
_cell_length_c 6.6231
_cell_angle_alpha 90.00
_cell_angle_beta 90.00
_cell_angle_gamma 120.00
loop_
_atom_site_label
_atom_site_type_symbol
_atom_site_fract_x
_atom_site_fract_y
_atom_site_fract_z
Tb1 Tb 0.0000 0.2873 0.2500
Tb2 Tb 0.3333 0.6667 0.0000
Sn1 Sn 0.0000 0.0000 0.0000
Hg1 Hg 0.0000 0.3814 0.7500
```

***

Record 8
The following is a simulated powder diffraction line list of TcSn4Hg. It was derived from the GGA-PBE geometry in Alexandria, using Cu Kα X-rays.
No peak broadening, texture or thermal motion is included.

Main lines, in order of rising 2θ (10° ≤ 2θ ≤ 80°):
| hkl | 2θ/deg | I (rel.) |
| --- | --- | --- |
| 1 1 0 | 17.79 | 25 |
| 2 1 1 | 29.41 | 75 |
| 2 2 0 | 36.03 | 28 |
| 1 1 4 | 36.49 | 78 |
| 2 1 3 | 37.15 | 93 |
| 3 1 0 | 40.46 | 100 |
| 2 0 4 | 40.87 | 61 |
| 4 0 4 | 62.02 | 34 |
| 2 1 7 | 64.72 | 36 |
| 3 3 4 | 65.08 | 38 |

Crystal structure
```
data_TcSn4Hg
_symmetry_space_group_name_H-M 'I 4/m c m'
_symmetry_Int_Tables_number 140
_symmetry_space_group_name_Hall '-I 4 2c'
_cell_length_a 7.0501
_cell_length_b 7.0501
_cell_length_c 11.3296
_cell_angle_alpha 90.00
_cell_angle_beta 90.00
_cell_angle_gamma 90.00
loop_
_atom_site_label
_atom_site_type_symbol
_atom_site_fract_x
_atom_site_fract_y
_atom_site_fract_z
Tc1 Tc 0.0000 0.0000 0.2500
Sn1 Sn 0.1541 0.3459 0.1457
Hg1 Hg 0.0000 0.0000 0.0000
```